Theoretical X-ray diffraction stick pattern
Compound: PrSmHo4
Radiation: Cu Kα (λ = 1.5418 Å)
Structure: a GGA-PBE-relaxed structure

Principal peaks in the range 2θ from 5° to 70°, low angle first:
2θ (°), Rel. int., index
28.9, 41.8, 1 2 0
30.1, 62.4, 2 0 -2
30.8, 50.2, 0 0 3
32.1, 48.6, 0 2 2
32.4, 100.0, 1 2 1
35.1, 46.3, 2 0 1
39.2, 32.9, 2 2 -2
50.4, 27.5, 0 4 0
52.7, 26.0, 3 2 0
57.3, 40.4, 2 2 3

a = 6.3226 Å, b = 7.2460 Å, c = 9.2715 Å
α = 90.00°, β = 109.90°, γ = 90.00°
Space group P2_1/m (No. 11)
One atom of each set of equivalent atoms:
Pr (0.1901, 0.2500, 0.3714) (multiplicity 2)
Sm (0.2387, 0.7500, 0.0026) (multiplicity 2)
Ho (0.1744, 0.7500, 0.3638) (multiplicity 2)
Ho (0.2584, 0.2500, 0.9972) (multiplicity 2)
Ho (0.3560, 0.5029, 0.7110) (multiplicity 4)

***

Theoretical X-ray diffraction stick pattern
Compound: Pr5SmHo5
Radiation: Cu Kα (λ = 1.5418 Å)
Structure: a GGA-PBE-relaxed structure

Principal peaks in the range 2θ from 5° to 70°, low angle first:
2θ (°), Rel. int., index
28.1, 100.0, 1 0 3
29.0, 85.8, 1 1 0
30.0, 32.6, 1 1 1
32.8, 27.5, 1 1 2
34.5, 36.4, 2 0 1
34.6, 35.5, 1 0 4
37.0, 56.1, 2 0 2
45.8, 26.2, 2 0 4
50.9, 39.1, 2 1 3
60.1, 29.4, 2 2 0

a = 6.1543 Å, b = 6.1543 Å, c = 11.8509 Å
α = 90.00°, β = 90.00°, γ = 120.00°
Space group P-6m2 (No. 187)
One atom of each set of equivalent atoms:
Pr (0.0000, 0.0000, 0.0000) (multiplicity 1)
Pr (0.3333, 0.6667, 0.3174) (multiplicity 2)
Pr (0.6667, 0.3333, 0.1545) (multiplicity 2)
Sm (0.3333, 0.6667, 0.0000) (multiplicity 1)
Ho (0.0000, 0.0000, 0.2662) (multiplicity 2)
Ho (0.3329, 0.1664, 0.5000) (multiplicity 3)

***

Theoretical X-ray diffraction stick pattern
Compound: Pr6Sm16Ho7
Radiation: Cu Kα (λ = 1.5418 Å)
Structure: a GGA-PBE-relaxed structure

Principal peaks in the range 2θ from 5° to 70°, low angle first:
2θ (°), Rel. int., index
27.3, 6.5, 4 2 2
29.0, 12.0, 3 3 3
31.6, 100.0, 4 4 0
33.1, 6.0, 5 3 1
33.6, 5.3, 6 0 0
43.4, 6.3, 7 3 1
45.3, 13.7, 8 0 0
56.3, 25.5, 8 4 4
59.8, 5.8, 7 7 3
66.1, 7.0, 8 8 0

a = 16.0025 Å, b = 16.0025 Å, c = 16.0025 Å
α = 90.00°, β = 90.00°, γ = 90.00°
Space group Fm-3m (No. 225)
One atom of each set of equivalent atoms:
Pr (0.0000, 0.0000, 0.2269) (multiplicity 24)
Sm (0.1261, 0.1261, 0.3739) (multiplicity 32)
Sm (0.1514, 0.1514, 0.1514) (multiplicity 32)
Ho (0.0000, 0.0000, 0.5000) (multiplicity 4)
Ho (0.0000, 0.2500, 0.2500) (multiplicity 24)

***

Theoretical X-ray diffraction stick pattern
Compound: PrSm3Ho6
Radiation: Cu Kα (λ = 1.5418 Å)
Structure: a GGA-PBE-relaxed structure

Principal peaks in the range 2θ from 5° to 70°, low angle first:
2θ (°), Rel. int., index
27.9, 24.1, 3 3 0
28.5, 27.6, 3 1 1
28.6, 79.1, 0 0 2
30.1, 34.2, 0 2 2
31.5, 77.8, 3 3 1
31.7, 100.0, 0 6 1
33.0, 25.3, 2 0 2
34.3, 57.2, 2 2 2
40.4, 24.1, 4 4 1
49.7, 19.2, 3 9 0

a = 11.0881 Å, b = 19.0025 Å, c = 6.2383 Å
α = 90.00°, β = 90.00°, γ = 90.00°
Space group Cmc2_1 (No. 36)
One atom of each set of equivalent atoms:
Pr (0.0000, 0.2043, 0.0000) (multiplicity 4)
Sm (0.0000, 0.3910, 0.9253) (multiplicity 4)
Sm (0.1738, 0.1100, 0.3186) (multiplicity 8)
Ho (0.0000, 0.0446, 0.7626) (multiplicity 4)
Ho (0.0000, 0.2819, 0.4971) (multiplicity 4)
Ho (0.1651, 0.4526, 0.3913) (multiplicity 8)
Ho (0.2489, 0.2889, 0.2258) (multiplicity 8)

***

Theoretical X-ray diffraction stick pattern
Compound: Pr9Sm3Ho2
Radiation: Cu Kα (λ = 1.5418 Å)
Structure: a GGA-PBE-relaxed structure

Principal peaks in the range 2θ from 5° to 70°, low angle first:
2θ (°), Rel. int., index
11.1, 14.4, 1 0 0
25.3, 24.0, 0 0 4
29.5, 43.8, 2 0 3
30.4, 84.0, 2 1 1
32.1, 24.9, 1 1 4
32.4, 100.0, 2 1 2
33.8, 29.6, 1 0 5
35.5, 24.3, 2 1 3
52.8, 53.4, 1 4 0
59.5, 16.9, 1 4 4

a = 9.1714 Å, b = 9.1714 Å, c = 14.0585 Å
α = 90.00°, β = 90.00°, γ = 120.00°
Space group P6_3/m (No. 176)
One atom of each set of equivalent atoms:
Pr (0.0789, 0.4804, 0.2500) (multiplicity 6)
Pr (0.1319, 0.7259, 0.0410) (multiplicity 12)
Sm (0.0816, 0.2508, 0.7500) (multiplicity 6)
Ho (0.3333, 0.6667, 0.6426) (multiplicity 4)

***

Theoretical X-ray diffraction stick pattern
Compound: Pr6Sm5Ho
Radiation: Cu Kα (λ = 1.5418 Å)
Structure: a GGA-PBE-relaxed structure

Principal peaks in the range 2θ from 5° to 70°, low angle first:
2θ (°), Rel. int., index
29.8, 100.0, 1 3 1
30.1, 32.7, 0 0 4
34.6, 67.3, 2 0 2
49.7, 24.3, 0 6 0
50.0, 23.9, 1 3 5
59.0, 14.5, 4 0 0
59.1, 28.8, 3 3 3
59.4, 14.2, 2 0 6
62.0, 12.5, 2 6 2
62.5, 4.1, 0 0 8

a = 6.3590 Å, b = 11.0171 Å, c = 12.0795 Å
α = 90.00°, β = 100.11°, γ = 90.00°
Space group C2/m (No. 12)
One atom of each set of equivalent atoms:
Pr (0.2487, 0.1663, 0.2490) (multiplicity 8)
Pr (0.2503, 0.0000, 0.7508) (multiplicity 4)
Sm (0.0000, 0.1665, 0.5000) (multiplicity 4)
Sm (0.0000, 0.3332, 0.0000) (multiplicity 4)
Sm (0.0000, 0.5000, 0.5000) (multiplicity 2)
Ho (0.0000, 0.0000, 0.0000) (multiplicity 2)

***

Theoretical X-ray diffraction stick pattern
Compound: Pr3Sm5Ho
Radiation: Cu Kα (λ = 1.5418 Å)
Structure: a GGA-PBE-relaxed structure

Principal peaks in the range 2θ from 5° to 70°, low angle first:
2θ (°), Rel. int., index
21.4, 47.7, 0 2 0
27.3, 67.6, 2 2 0
29.1, 65.1, 0 2 3
29.6, 24.0, 2 2 1
29.7, 23.1, 2 2 -3
30.3, 89.6, 2 0 3
30.6, 87.0, 2 0 -5
31.2, 100.0, 4 0 -2
43.7, 27.6, 0 4 0
54.7, 29.3, 4 4 -2

a = 11.4546 Å, b = 8.2924 Å, c = 14.7667 Å
α = 90.00°, β = 112.27°, γ = 90.00°
Space group C2/m (No. 12)
One atom of each set of equivalent atoms:
Pr (0.0000, 0.0000, 0.0000) (multiplicity 2)
Pr (0.0000, 0.0000, 0.5000) (multiplicity 2)
Pr (0.1868, 0.0000, 0.3771) (multiplicity 4)
Pr (0.2052, 0.5000, 0.0014) (multiplicity 4)
Sm (0.0000, 0.3253, 0.5000) (multiplicity 4)
Sm (0.0791, 0.2890, 0.1583) (multiplicity 8)
Sm (0.1371, 0.5000, 0.7565) (multiplicity 4)
Sm (0.1942, 0.5000, 0.3804) (multiplicity 4)
Ho (0.1176, 0.0000, 0.7549) (multiplicity 4)

***

Theoretical X-ray diffraction stick pattern
Compound: Pr5Sm5Ho
Radiation: Cu Kα (λ = 1.5418 Å)
Structure: a GGA-PBE-relaxed structure

Principal peaks in the range 2θ from 5° to 70°, low angle first:
2θ (°), Rel. int., index
27.1, 21.2, 0 2 2
28.9, 16.8, 1 0 5
29.1, 58.7, 2 0 0
29.5, 17.1, 1 2 1
30.0, 34.3, 0 0 6
32.8, 100.0, 1 2 3
42.3, 27.2, 2 0 6
54.0, 24.4, 3 2 3
60.3, 22.3, 4 0 0
68.8, 18.9, 4 0 6

a = 6.1375 Å, b = 7.0888 Å, c = 17.8797 Å
α = 90.00°, β = 90.00°, γ = 90.00°
Space group Immm (No. 71)
One atom of each set of equivalent atoms:
Pr (0.0000, 0.0000, 0.0000) (multiplicity 2)
Pr (0.0000, 0.2564, 0.3255) (multiplicity 8)
Sm (0.0000, 0.0000, 0.1696) (multiplicity 4)
Sm (0.0000, 0.0000, 0.5000) (multiplicity 2)
Sm (0.0000, 0.5000, 0.1244) (multiplicity 4)
Ho (0.0000, 0.5000, 0.5000) (multiplicity 2)